# Tm2NiIr
Computed powder XRD pattern, Cu Kα (λ = 1.5418 Å). Input: a structure optimized by DFT (GGA-PBE).

Most intense lines, 2θ = 5–70°, low angle first:
2θ/deg	I_rel
22.96	10.3
37.94	100.0
44.81	5.6
54.73	17.4
60.12	2.5
68.52	35.3

Crystal structure
Cell: 6.709 6.709 6.709 Å, 90.00 90.00 90.00°
Space group Fm-3m (No. 225)
Inequivalent atoms, fractional coordinates:
Tm  0.250  0.250  0.250 (multiplicity 8)
Ni  0.000  0.000  0.000 (multiplicity 4)
Ir  0.000  0.000  0.500 (multiplicity 4)



# NpIr2
Computed powder XRD pattern, Cu Kα (λ = 1.5418 Å). Input: a structure optimized by DFT (GGA-PBE).

Most intense lines, 2θ = 5–70°, low angle first:
2θ/deg	I_rel
33.89	33.5
39.97	100.0
41.83	33.7
48.69	2.4
60.65	13.1
64.76	33.1

Crystal structure
Cell: 7.480 7.480 7.480 Å, 90.00 90.00 90.00°
Space group Fd-3m (No. 227, origin choice 2)
Inequivalent atoms, fractional coordinates:
Np  0.125  0.125  0.125 (multiplicity 8)
Ir  0.000  0.000  0.500 (multiplicity 16)



# NpSi2Ir2
Computed powder XRD pattern, Cu Kα (λ = 1.5418 Å). Input: a structure optimized by DFT (GGA-PBE).

Most intense lines, 2θ = 5–70°, low angle first:
2θ/deg	I_rel
31.94	50.8
34.78	70.0
35.68	100.0
43.82	60.0
51.14	27.2
57.12	34.6

Crystal structure
Cell: 4.132 4.132 9.904 Å, 90.00 90.00 90.00°
Space group P4/nmm (No. 129, origin choice 2)
Inequivalent atoms, fractional coordinates:
Np  0.250  0.250  0.242 (multiplicity 2)
Si  0.250  0.250  0.631 (multiplicity 2)
Si  0.250  0.750  0.000 (multiplicity 2)
Ir  0.250  0.250  0.871 (multiplicity 2)
Ir  0.250  0.750  0.500 (multiplicity 2)



# NpSnIr
Computed powder XRD pattern, Cu Kα (λ = 1.5418 Å). Input: a structure optimized by DFT (GGA-PBE).

Most intense lines, 2θ = 5–70°, low angle first:
2θ/deg	I_rel
32.81	83.6
35.76	100.0
37.11	34.5
42.31	32.6
44.85	26.3
67.82	28.7

Crystal structure
Cell: 7.4006 7.4006 4.0420 Å, 90.00 90.00 120.00°
Space group P-62m (No. 189)
Inequivalent atoms, fractional coordinates:
Np  0.0000  0.5860  0.0000 (multiplicity 3)
Sn  0.0000  0.2543  0.5000 (multiplicity 3)
Ir  0.0000  0.0000  0.0000 (multiplicity 1)
Ir  0.3333  0.6667  0.5000 (multiplicity 2)



# IrO2
Computed powder XRD pattern, Cu Kα (λ = 1.5418 Å). Input: a structure optimized by DFT (GGA-PBE).

Most intense lines, 2θ = 5–70°, low angle first:
2θ/deg	I_rel
24.44	100.0
35.80	26.5
36.76	19.1
37.25	44.4
46.26	22.6
53.00	24.4

Crystal structure
Cell: 3.925 3.925 9.781 Å, 90.00 90.00 90.00°
Space group I4_1/amd (No. 141, origin choice 2)
Inequivalent atoms, fractional coordinates:
Ir  0.000  0.250  0.375 (multiplicity 4)
O  0.000  0.250  0.165 (multiplicity 8)



# IrO2
Computed powder XRD pattern, Cu Kα (λ = 1.5418 Å). Input: a structure optimized by DFT (GGA-PBE).

Most intense lines, 2θ = 5–70°, low angle first:
2θ/deg	I_rel
31.35	100.0
36.35	48.3
40.82	1.3
52.36	40.3
62.30	50.5
65.41	13.3

Crystal structure
Cell: 4.943 4.943 4.943 Å, 90.00 90.00 90.00°
Space group Pa-3 (No. 205)
Inequivalent atoms, fractional coordinates:
Ir  0.000  0.000  0.000 (multiplicity 4)
O  0.152  0.652  0.848 (multiplicity 8)



# IrO2
Computed powder XRD pattern, Cu Kα (λ = 1.5418 Å). Input: a structure optimized by DFT (GGA-PBE).

Most intense lines, 2θ = 5–70°, low angle first:
2θ/deg	I_rel
27.76	100.0
34.35	96.4
39.66	28.5
53.46	68.7
65.32	18.1
68.58	18.8

Crystal structure
Cell: 4.545 4.545 3.190 Å, 90.00 90.00 90.00°
Space group P4_2/mnm (No. 136)
Inequivalent atoms, fractional coordinates:
Ir  0.000  0.000  0.000 (multiplicity 2)
O  0.192  0.192  0.500 (multiplicity 4)



# Ir2Pb2O7
Computed powder XRD pattern, Cu Kα (λ = 1.5418 Å). Input: a structure optimized by DFT (GGA-PBE).

Most intense lines, 2θ = 5–70°, low angle first:
2θ/deg	I_rel
29.70	100.0
34.43	39.4
37.63	0.9
49.48	43.9
58.78	45.2
61.67	11.7

Crystal structure
Cell: 10.420 10.420 10.420 Å, 90.00 90.00 90.00°
Space group Fd-3m (No. 227, origin choice 2)
Inequivalent atoms, fractional coordinates:
Ir  0.000  0.000  0.000 (multiplicity 16)
Pb  0.000  0.000  0.500 (multiplicity 16)
O  0.077  0.375  0.375 (multiplicity 48)
O  0.125  0.125  0.625 (multiplicity 8)



# Pr2Ir2O7
Computed powder XRD pattern, Cu Kα (λ = 1.5418 Å). Input: a structure optimized by DFT (GGA-PBE).

Most intense lines, 2θ = 5–70°, low angle first:
2θ/deg	I_rel
14.59	3.4
29.42	100.0
34.10	36.8
49.00	45.3
58.19	44.4
61.04	11.0

Crystal structure
Cell: 10.517 10.517 10.517 Å, 90.00 90.00 90.00°
Space group Fd-3m (No. 227, origin choice 2)
Inequivalent atoms, fractional coordinates:
Pr  0.000  0.000  0.000 (multiplicity 16)
Ir  0.000  0.000  0.500 (multiplicity 16)
O  0.081  0.375  0.875 (multiplicity 48)
O  0.125  0.125  0.125 (multiplicity 8)



# RbIr6O12
Computed powder XRD pattern, Cu Kα (λ = 1.5418 Å). Input: a structure optimized by DFT (GGA-PBE).

Most intense lines, 2θ = 5–70°, low angle first:
2θ/deg	I_rel
12.22	39.1
17.31	31.0
27.53	67.6
34.23	100.0
46.30	31.1
56.29	40.5

Crystal structure
Cell: 10.245 10.245 9.578 Å, 90.00 90.00 90.00°
Space group I4/m (No. 87)
Inequivalent atoms, fractional coordinates:
Rb  0.000  0.000  0.223 (multiplicity 4)
Ir  0.149  0.336  0.166 (multiplicity 16)
Ir  0.149  0.336  0.500 (multiplicity 8)
O  0.045  0.656  0.500 (multiplicity 8)
O  0.045  0.658  0.167 (multiplicity 16)
O  0.155  0.206  0.000 (multiplicity 8)
O  0.156  0.208  0.334 (multiplicity 16)



# Ir2Ru2O5
Computed powder XRD pattern, Cu Kα (λ = 1.5418 Å). Input: a structure optimized by DFT (GGA-PBE).

Most intense lines, 2θ = 5–70°, low angle first:
2θ/deg	I_rel
10.96	70.2
34.33	100.0
37.09	94.0
42.73	67.9
50.70	52.9
53.46	49.3

Crystal structure
Cell: 3.428 3.428 8.070 Å, 90.00 90.00 90.00°
Space group P4/mmm (No. 123)
Inequivalent atoms, fractional coordinates:
Ir  0.000  0.000  0.160 (multiplicity 2)
Ru  0.500  0.500  0.000 (multiplicity 1)
Ru  0.500  0.500  0.500 (multiplicity 1)
O  0.000  0.000  0.500 (multiplicity 1)
O  0.000  0.500  0.308 (multiplicity 4)



# Sr2ScIrO6
Computed powder XRD pattern, Cu Kα (λ = 1.5418 Å). Input: a structure optimized by DFT (GGA-PBE).

Most intense lines, 2θ = 5–70°, low angle first:
2θ/deg	I_rel
19.00	25.6
19.12	24.3
31.41	100.0
31.47	24.6
44.87	31.5
55.99	24.6

Crystal structure
Cell: 9.859 5.686 5.742 Å, 90.00 125.43 90.00°
Space group C2/m (No. 12)
Inequivalent atoms, fractional coordinates:
Sr  0.249  0.000  0.245 (multiplicity 4)
Sc  0.000  0.000  0.500 (multiplicity 2)
Ir  0.000  0.500  0.000 (multiplicity 2)
O  0.031  0.256  0.788 (multiplicity 8)
O  0.243  0.500  0.301 (multiplicity 4)



# Sr4Ir3O10
Computed powder XRD pattern, Cu Kα (λ = 1.5418 Å). Input: a structure optimized by DFT (GGA-PBE).

Most intense lines, 2θ = 5–70°, low angle first:
2θ/deg	I_rel
22.51	20.9
31.25	100.0
31.74	55.5
45.50	30.1
55.31	18.8
56.23	39.4

Crystal structure
Cell: 3.987 3.987 28.780 Å, 90.00 90.00 90.00°
Space group I4/mmm (No. 139)
Inequivalent atoms, fractional coordinates:
Sr  0.000  0.000  0.069 (multiplicity 4)
Sr  0.000  0.000  0.202 (multiplicity 4)
Ir  0.000  0.000  0.357 (multiplicity 4)
Ir  0.000  0.000  0.500 (multiplicity 2)
O  0.000  0.000  0.287 (multiplicity 4)
O  0.000  0.000  0.430 (multiplicity 4)
O  0.000  0.500  0.000 (multiplicity 4)
O  0.000  0.500  0.137 (multiplicity 8)